This entry pairs a crystal structure of Pr8P3I4Cl with its computed powder diffraction line list. Radiation: λ = 1.5418 Å (Cu Kα). Structure: a DFT-relaxed cell (GGA-PBE, Alexandria).
No peak broadening, texture or thermal motion is included.

Cell and atoms:
```
data_Pr8P3I4Cl
_chemical_formula_sum 'Pr24 P9 I12 Cl3'
_symmetry_space_group_name_H-M 'R -3 m'
_symmetry_Int_Tables_number 166
_symmetry_space_group_name_Hall '-R 3 2"'
_cell_length_a 8.4736
_cell_length_b 8.4736
_cell_length_c 23.2475
_cell_angle_alpha 90.00
_cell_angle_beta 90.00
_cell_angle_gamma 120.00
loop_
_atom_site_label
_atom_site_type_symbol
_atom_site_fract_x
_atom_site_fract_y
_atom_site_fract_z
Pr1 Pr 0.0000 0.0000 0.2301
Pr2 Pr 0.0038 0.5019 0.7704
P1 P 0.0000 0.5000 0.5000
I1 I 0.0000 0.0000 0.0000
I2 I 0.0000 0.5000 0.0000
Cl1 Cl 0.0000 0.0000 0.5000
```

Peak list (6 most intense, 10° ≤ 2θ ≤ 80°, low angle first)
h k l	d_spacing	2θ (°)	intensity
0 2 4	3.103	28.77	100
2 0 5	2.880	31.05	34
2 0 8	2.278	39.56	24
2 2 0	2.118	42.68	40
4 0 4	1.750	52.29	18
2 2 9	1.638	56.15	23

This entry pairs a crystal structure of RbTaTlGeTeAs with its computed powder diffraction line list. Radiation: λ = 1.5418 Å (Cu Kα). Structure: a DFT-relaxed cell (GGA-PBE, Alexandria).
No peak broadening, texture or thermal motion is included.

Cell and atoms:
```
data_RbTaTlGeTeAs
_chemical_formula_sum 'Rb1 Ta1 Tl1 Ge1 Te1 As1'
_symmetry_space_group_name_H-M 'P 1'
_symmetry_Int_Tables_number 1
_symmetry_space_group_name_Hall 'P 1'
_cell_length_a 3.6887
_cell_length_b 5.0519
_cell_length_c 9.8613
_cell_angle_alpha 81.88
_cell_angle_beta 79.49
_cell_angle_gamma 89.91
loop_
_atom_site_label
_atom_site_type_symbol
_atom_site_fract_x
_atom_site_fract_y
_atom_site_fract_z
Rb1 Rb 0.0000 0.0000 0.0000
Ta1 Ta 0.8020 0.4232 0.4058
Tl1 Tl 0.6434 0.6057 0.7228
Ge1 Ge 0.2129 0.1453 0.5909
Te1 Te 0.4072 0.4476 0.1897
As1 As 0.7876 0.9068 0.4358
```

Peak list (6 most intense, 10° ≤ 2θ ≤ 80°, low angle first)
h k l	d_spacing	2θ (°)	intensity
0 1 2	3.740	23.79	64
1 0 0	3.622	24.58	65
1 1 1	2.972	30.07	100
1 0 -2	2.666	33.61	82
1 0 3	2.653	33.79	81
-1 2 2	1.919	47.37	63

This entry pairs a crystal structure of TbNd2Hg with its computed powder diffraction line list. Radiation: λ = 1.5418 Å (Cu Kα). Structure: a DFT-relaxed cell (GGA-PBE, Alexandria).
No peak broadening, texture or thermal motion is included.

Cell and atoms:
```
data_TbNd2Hg
_chemical_formula_sum 'Tb1 Nd2 Hg1'
_symmetry_space_group_name_H-M 'P 4/m m m'
_symmetry_Int_Tables_number 123
_symmetry_space_group_name_Hall '-P 4 2'
_cell_length_a 5.6658
_cell_length_b 5.6658
_cell_length_c 3.7645
_cell_angle_alpha 90.00
_cell_angle_beta 90.00
_cell_angle_gamma 90.00
loop_
_atom_site_label
_atom_site_type_symbol
_atom_site_fract_x
_atom_site_fract_y
_atom_site_fract_z
Tb1 Tb 0.0000 0.0000 0.0000
Nd1 Nd 0.0000 0.5000 0.5000
Hg1 Hg 0.5000 0.5000 0.0000
```

Peak list (6 most intense, 10° ≤ 2θ ≤ 80°, low angle first)
h k l	d_spacing	2θ (°)	intensity
2 0 0	2.833	31.58	55
1 1 1	2.743	32.64	100
2 2 0	2.003	45.27	20
3 1 1	1.618	56.92	41
2 0 2	1.568	58.91	19
2 2 2	1.372	68.39	12

This entry pairs a crystal structure of ZrZnSb3 with its computed powder diffraction line list. Radiation: λ = 1.5418 Å (Cu Kα). Structure: a DFT-relaxed cell (GGA-PBE, Alexandria).
No peak broadening, texture or thermal motion is included.

Cell and atoms:
```
data_ZrZnSb3
_chemical_formula_sum 'Zr1 Zn1 Sb3'
_symmetry_space_group_name_H-M 'P m -3 m'
_symmetry_Int_Tables_number 221
_symmetry_space_group_name_Hall '-P 4 2 3'
_cell_length_a 5.5433
_cell_length_b 5.5433
_cell_length_c 5.5433
_cell_angle_alpha 90.00
_cell_angle_beta 90.00
_cell_angle_gamma 90.00
loop_
_atom_site_label
_atom_site_type_symbol
_atom_site_fract_x
_atom_site_fract_y
_atom_site_fract_z
Zr1 Zr 0.0000 0.0000 0.0000
Zn1 Zn 0.5000 0.5000 0.5000
Sb1 Sb 0.0000 0.0000 0.5000
```

Peak list (6 most intense, 10° ≤ 2θ ≤ 80°, low angle first)
h k l	d_spacing	2θ (°)	intensity
1 0 0	5.543	15.99	42
1 1 1	3.200	27.88	82
2 0 0	2.772	32.30	100
2 2 0	1.960	46.33	72
3 1 1	1.671	54.94	36
4 2 0	1.240	76.92	31

This entry pairs a crystal structure of Zr12TiCd3 with its computed powder diffraction line list. Radiation: λ = 1.5418 Å (Cu Kα). Structure: a DFT-relaxed cell (GGA-PBE, Alexandria).
No peak broadening, texture or thermal motion is included.

Cell and atoms:
```
data_Zr12TiCd3
_chemical_formula_sum 'Zr12 Ti1 Cd3'
_symmetry_space_group_name_H-M 'P 4/m m m'
_symmetry_Int_Tables_number 123
_symmetry_space_group_name_Hall '-P 4 2'
_cell_length_a 4.4592
_cell_length_b 4.4592
_cell_length_c 17.8356
_cell_angle_alpha 90.00
_cell_angle_beta 90.00
_cell_angle_gamma 90.00
loop_
_atom_site_label
_atom_site_type_symbol
_atom_site_fract_x
_atom_site_fract_y
_atom_site_fract_z
Zr1 Zr 0.0000 0.0000 0.0000
Zr2 Zr 0.0000 0.0000 0.2482
Zr3 Zr 0.0000 0.0000 0.5000
Zr4 Zr 0.0000 0.5000 0.1254
Zr5 Zr 0.0000 0.5000 0.3787
Ti1 Ti 0.5000 0.5000 0.5000
Cd1 Cd 0.5000 0.5000 0.0000
Cd2 Cd 0.5000 0.5000 0.2506
```

Peak list (6 most intense, 10° ≤ 2θ ≤ 80°, low angle first)
h k l	d_spacing	2θ (°)	intensity
0 0 5	3.567	24.96	1
1 1 4	2.574	34.85	100
2 0 0	2.230	40.46	49
2 2 0	1.577	58.55	32
3 1 4	1.344	69.98	36
2 2 8	1.287	73.58	10

This entry pairs a crystal structure of Sr2Bi5Pt3 with its computed powder diffraction line list. Radiation: λ = 1.5418 Å (Cu Kα). Structure: a DFT-relaxed cell (GGA-PBE, Alexandria).
No peak broadening, texture or thermal motion is included.

Cell and atoms:
```
data_Sr2Bi5Pt3
_chemical_formula_sum 'Sr8 Bi20 Pt12'
_symmetry_space_group_name_H-M 'C m c 21'
_symmetry_Int_Tables_number 36
_symmetry_space_group_name_Hall 'C 2c -2'
_cell_length_a 4.7450
_cell_length_b 28.3214
_cell_length_c 7.9701
_cell_angle_alpha 90.00
_cell_angle_beta 90.00
_cell_angle_gamma 90.00
loop_
_atom_site_label
_atom_site_type_symbol
_atom_site_fract_x
_atom_site_fract_y
_atom_site_fract_z
Sr1 Sr 0.0000 0.0237 0.0000
Sr2 Sr 0.0000 0.3291 0.9674
Bi1 Bi 0.0000 0.0962 0.6305
Bi2 Bi 0.0000 0.2042 0.1708
Bi3 Bi 0.0000 0.2113 0.7549
Bi4 Bi 0.0000 0.3784 0.4974
Bi5 Bi 0.0000 0.4524 0.8303
Pt1 Pt 0.0000 0.1063 0.2626
Pt2 Pt 0.0000 0.2698 0.4595
Pt3 Pt 0.0000 0.4511 0.2105
```

Peak list (6 most intense, 10° ≤ 2θ ≤ 80°, low angle first)
h k l	d_spacing	2θ (°)	intensity
1 3 2	2.904	30.79	100
1 7 1	2.872	31.14	76
1 9 0	2.623	34.19	27
2 0 0	2.373	37.92	63
1 3 3	2.251	40.05	30
1 9 2	2.191	41.21	53